Starting from a PBE-relaxed structure, the powder X-ray diffraction pattern of GeSbPt2 was simulated for CuKα.
Lines closer than 0.1° are merged.

Top 10 peaks for 10° ≤ 2θ ≤ 80°, low angle first:
- 25.42 deg, intensity 60, (0 4 1)
- 25.63 deg, intensity 32, (0 0 2)
- 30.21 deg, intensity 31, (1 4 1)
- 30.39 deg, intensity 16, (1 0 2)
- 41.67 deg, intensity 100, (2 4 1)
- 41.80 deg, intensity 49, (2 0 2)
- 44.66 deg, intensity 27, (0 8 0)
- 45.05 deg, intensity 55, (0 4 3)
- 62.83 deg, intensity 24, (2 8 2)
- 63.24 deg, intensity 15, (2 0 4)

Atomic structure:
```
data_GeSbPt2
_chemical_formula_sum 'Ge8 Sb8 Pt16'
_cell_length_a 5.5173
_cell_length_b 16.2323
_cell_length_c 6.9514
_cell_angle_alpha 90.00
_cell_angle_beta 90.00
_cell_angle_gamma 90.00
_symmetry_space_group_name_H-M 'P b c a'
_symmetry_Int_Tables_number 61
loop_
_symmetry_equiv_pos_as_xyz
'x,y,z'
'-x,-y,-z'
'-x+1/2,-y,z+1/2'
'x+1/2,y,-z+1/2'
'x+1/2,-y+1/2,-z'
'-x+1/2,y+1/2,z'
'-x,y+1/2,-z+1/2'
'x,-y+1/2,z+1/2'
loop_
_atom_site_label
_atom_site_type_symbol
_atom_site_fract_x
_atom_site_fract_y
_atom_site_fract_z
Ge1 Ge 0.2253 0.0608 0.0803
Sb1 Sb 0.2310 0.6858 0.5890
Pt1 Pt 0.0021 0.1769 0.2589
Pt2 Pt 0.0020 0.5532 0.7736
```